Structure and simulated powder diffractogram of HfTi3H8 (a DFT-relaxed cell (PBE, Alexandria); λ = 1.5418 Å (Cu Kα)).
Lines closer than 0.1° are merged.

Top 10 peaks for 2θ from 10° to 90°, in order of rising 2θ:
18.7 deg, I = 18
22.5 deg, I = 47
34.7 deg, I = 100
35.1 deg, I = 16
38.0 deg, I = 18
41.4 deg, I = 28
47.6 deg, I = 14
57.5 deg, I = 23
66.6 deg, I = 14
71.2 deg, I = 23

Crystal structure
Cell: 5.6506 5.6506 5.6506 Å, 134.62 134.62 66.13°
Sites, in units of the cell vectors:
1 Hf 0.0000 0.0000 0.0000
2 Ti 0.2500 0.7500 0.5000
3 Ti 0.5000 0.5000 0.0000
4 Ti 0.7500 0.2500 0.5000
5 H 0.1278 0.1278 0.5145
6 H 0.1278 0.6133 0.0000
7 H 0.3867 0.3867 0.5145
8 H 0.3867 0.8722 0.0000
9 H 0.6133 0.1278 0.0000
10 H 0.6133 0.6133 0.4855
11 H 0.8722 0.3867 0.0000
12 H 0.8722 0.8722 0.4855

***

Structure and simulated powder diffractogram of HfTi5H6 (a DFT-relaxed cell (PBE, Alexandria); λ = 1.5418 Å (Cu Kα)).
Lines closer than 0.1° are merged.

Top 10 peaks for 2θ from 10° to 90°, in order of rising 2θ:
18.1 deg, I = 14
19.9 deg, I = 11
20.7 deg, I = 20
23.0 deg, I = 16
27.0 deg, I = 12
36.7 deg, I = 100
42.1 deg, I = 25
42.9 deg, I = 34
74.5 deg, I = 12
74.6 deg, I = 12

Crystal structure
Cell: 5.1761 5.1761 5.2194 Å, 100.13 100.13 119.31°
Sites, in units of the cell vectors:
1 Hf 0.0000 0.0000 0.0000
2 Ti 0.1689 0.8311 0.5000
3 Ti 0.3340 0.6660 0.0000
4 Ti 0.5000 0.5000 0.5000
5 Ti 0.6660 0.3340 0.0000
6 Ti 0.8311 0.1689 0.5000
7 H 0.0858 0.4264 0.2605
8 H 0.2551 0.2551 0.7421
9 H 0.4264 0.0858 0.2605
10 H 0.5736 0.9142 0.7395
11 H 0.7449 0.7449 0.2579
12 H 0.9142 0.5736 0.7395

***

Structure and simulated powder diffractogram of Hf3TlH3 (a DFT-relaxed cell (PBE, Alexandria); λ = 1.5418 Å (Cu Kα)).
Lines closer than 0.1° are merged.

Top 10 peaks for 2θ from 10° to 90°, in order of rising 2θ:
31.2 deg, I = 39
35.0 deg, I = 100
38.4 deg, I = 90
55.5 deg, I = 8
57.9 deg, I = 24
60.3 deg, I = 49
65.0 deg, I = 18
73.8 deg, I = 14
76.0 deg, I = 22
78.1 deg, I = 12

Crystal structure
Cell: 5.7397 5.7397 5.7397 Å, 90.00 90.00 90.00°
Sites, in units of the cell vectors:
1 Hf 0.0000 0.2500 0.5000
2 Hf 0.0000 0.7500 0.5000
3 Hf 0.2500 0.5000 0.0000
4 Hf 0.5000 0.0000 0.2500
5 Hf 0.5000 0.0000 0.7500
6 Hf 0.7500 0.5000 0.0000
7 Tl 0.0000 0.0000 0.0000
8 Tl 0.5000 0.5000 0.5000
9 H 0.0000 0.5000 0.2500
10 H 0.0000 0.5000 0.7500
11 H 0.2500 0.0000 0.5000
12 H 0.5000 0.2500 0.0000
13 H 0.5000 0.7500 0.0000
14 H 0.7500 0.0000 0.5000

***

Structure and simulated powder diffractogram of Hf2V3H8 (a DFT-relaxed cell (PBE, Alexandria); λ = 1.5418 Å (Cu Kα)).
Lines closer than 0.1° are merged.

Top 10 peaks for 2θ from 10° to 90°, in order of rising 2θ:
26.2 deg, I = 100
32.3 deg, I = 50
32.6 deg, I = 31
34.0 deg, I = 66
34.4 deg, I = 82
35.6 deg, I = 41
37.9 deg, I = 29
38.6 deg, I = 38
39.8 deg, I = 40
41.7 deg, I = 41

Crystal structure
Cell: 5.5502 5.5502 4.3414 Å, 109.75 109.75 59.25°
Sites, in units of the cell vectors:
1 Hf 0.1865 0.1865 0.1666
2 Hf 0.8135 0.8135 0.8334
3 V 0.2421 0.7579 0.5000
4 V 0.5000 0.5000 0.0000
5 V 0.7579 0.2421 0.5000
6 H 0.1392 0.1392 0.6052
7 H 0.1728 0.5496 0.0849
8 H 0.3880 0.3880 0.5631
9 H 0.4504 0.8272 0.9151
10 H 0.5496 0.1728 0.0849
11 H 0.6120 0.6120 0.4369
12 H 0.8272 0.4504 0.9151
13 H 0.8608 0.8608 0.3948

***

Structure and simulated powder diffractogram of Hf3VH8 (a DFT-relaxed cell (PBE, Alexandria); λ = 1.5418 Å (Cu Kα)).
Lines closer than 0.1° are merged.

Top 10 peaks for 2θ from 10° to 90°, in order of rising 2θ:
18.6 deg, I = 5
21.7 deg, I = 14
33.7 deg, I = 100
37.7 deg, I = 18
39.8 deg, I = 31
56.0 deg, I = 24
57.5 deg, I = 11
65.6 deg, I = 15
68.3 deg, I = 26
70.9 deg, I = 11

Crystal structure
Cell: 5.7448 5.7448 5.7448 Å, 133.53 133.53 67.83°
Sites, in units of the cell vectors:
1 Hf 0.0000 0.0000 0.0000
2 Hf 0.2500 0.7500 0.5000
3 Hf 0.7500 0.2500 0.5000
4 V 0.5000 0.5000 0.0000
5 H 0.1415 0.1415 0.5207
6 H 0.1415 0.6208 0.0000
7 H 0.3792 0.3792 0.5207
8 H 0.3792 0.8585 0.0000
9 H 0.6208 0.1415 0.0000
10 H 0.6208 0.6208 0.4793
11 H 0.8585 0.3792 0.0000
12 H 0.8585 0.8585 0.4793

***

Structure and simulated powder diffractogram of Hf3ZrH7 (a DFT-relaxed cell (PBE, Alexandria); λ = 1.5418 Å (Cu Kα)).
Lines closer than 0.1° are merged.

Top 10 peaks for 2θ from 10° to 90°, in order of rising 2θ:
33.2 deg, I = 100
33.4 deg, I = 98
36.0 deg, I = 79
43.6 deg, I = 25
51.4 deg, I = 15
52.2 deg, I = 14
57.8 deg, I = 42
62.7 deg, I = 32
63.2 deg, I = 31
69.6 deg, I = 12

Crystal structure
Cell: 5.4661 5.4661 7.0138 Å, 90.00 90.00 81.17°
Sites, in units of the cell vectors:
1 Hf 0.0000 0.0000 0.0000
2 Hf 0.0000 0.0000 0.5000
3 Hf 0.0047 0.5022 0.7500
4 Hf 0.4978 0.9953 0.7500
5 Hf 0.5022 0.0047 0.2500
6 Hf 0.9953 0.4978 0.2500
7 Zr 0.5000 0.5000 0.0000
8 Zr 0.5000 0.5000 0.5000
9 H 0.1208 0.6285 0.0036
10 H 0.1208 0.6285 0.4964
11 H 0.1284 0.1288 0.2500
12 H 0.1288 0.1284 0.7500
13 H 0.3580 0.6420 0.7500
14 H 0.3715 0.8792 0.0036
15 H 0.3715 0.8792 0.4964
16 H 0.6285 0.1208 0.5036
17 H 0.6285 0.1208 0.9964
18 H 0.6420 0.3580 0.2500
19 H 0.8712 0.8716 0.2500
20 H 0.8716 0.8712 0.7500
21 H 0.8792 0.3715 0.5036
22 H 0.8792 0.3715 0.9964

***

Structure and simulated powder diffractogram of Hf4ZrH10 (a DFT-relaxed cell (PBE, Alexandria); λ = 1.5418 Å (Cu Kα)).
Lines closer than 0.1° are merged.

Top 10 peaks for 2θ from 10° to 90°, in order of rising 2θ:
33.0 deg, I = 100
35.3 deg, I = 20
39.7 deg, I = 30
54.1 deg, I = 25
57.3 deg, I = 11
61.9 deg, I = 17
67.7 deg, I = 25
69.1 deg, I = 12
88.0 deg, I = 7
89.3 deg, I = 13

Crystal structure
Cell: 5.6829 5.6829 5.6829 Å, 101.56 101.56 126.81°
Sites, in units of the cell vectors:
1 Hf 0.0996 0.6996 0.7992
2 Hf 0.3004 0.0996 0.4000
3 Hf 0.6996 0.9004 0.6000
4 Hf 0.9004 0.3004 0.2008
5 Zr 0.5000 0.5000 0.0000
6 H 0.0438 0.3476 0.8988
7 H 0.1450 0.0438 0.6962
8 H 0.2500 0.7500 0.5000
9 H 0.3476 0.4488 0.3038
10 H 0.4488 0.1450 0.1012
11 H 0.5512 0.8550 0.8988
12 H 0.6524 0.5512 0.6962
13 H 0.7500 0.2500 0.5000
14 H 0.8550 0.9562 0.3038
15 H 0.9562 0.6524 0.1012